# 1
# YHf2Al6
Simulated X-ray powder pattern, Cu Kα (weighted mean of Kα1 and Kα2). Input: a crystal structure in Alexandria, relaxed with PBE.
Lines closer than 0.1° are merged.

Largest 10 diffraction maxima, by intensity, 5° ≤ 2θ ≤ 70°:
two_theta	intensity
36.37	100
22.83	77
40.09	51
55.23	30
13.12	15
49.56	12
46.63	12
62.88	10
63.14	10
27.93	9

```
9
Lattice="7.792 0.000 0.000 -3.896 6.748 0.000 0.000 0.000 3.195" Properties=species:S:1:pos:R:3 pbc="T T T"
Y 0.000 0.000 0.000
Hf 0.000 4.499 0.000
Hf 3.896 2.249 0.000
Al -1.314 2.276 1.597
Al -2.582 4.472 1.597
Al 2.628 0.000 1.597
Al 1.314 2.276 1.597
Al 5.163 0.000 1.597
Al 2.582 4.472 1.597
```


# 2
# Y3HfAl8
Simulated X-ray powder pattern, Cu Kα (weighted mean of Kα1 and Kα2). Input: a crystal structure in Alexandria, relaxed with PBE.
Lines closer than 0.1° are merged.

Largest 10 diffraction maxima, by intensity, 5° ≤ 2θ ≤ 70°:
two_theta	intensity
35.17	100
38.46	72
32.80	68
60.10	40
39.37	39
21.18	36
18.76	35
64.66	25
27.21	20
62.34	17

```
12
Lattice="5.461 0.000 0.000 -2.731 4.729 0.000 0.000 0.000 9.090" Properties=species:S:1:pos:R:3 pbc="T T T"
Y 0.000 0.000 0.000
Y 0.000 0.000 3.339
Y 0.000 3.153 7.828
Hf 0.000 3.153 4.539
Al -1.330 2.385 1.703
Al 1.336 0.771 6.131
Al 1.330 2.385 1.703
Al 0.000 4.689 1.703
Al 2.731 1.576 3.926
Al 2.731 1.576 8.451
Al 4.126 0.771 6.131
Al 2.731 3.187 6.131
```


# 3
# HfAlZn6
Simulated X-ray powder pattern, Cu Kα (weighted mean of Kα1 and Kα2). Input: a crystal structure in Alexandria, relaxed with PBE.
Lines closer than 0.1° are merged.

Largest 10 diffraction maxima, by intensity, 5° ≤ 2θ ≤ 70°:
two_theta	intensity
19.40	100
36.24	90
39.39	65
47.14	54
36.87	40
36.33	36
42.52	19
37.08	19
40.31	18
24.85	17

```
8
Lattice="4.849 -2.594 0.000 4.849 2.594 0.000 -0.020 0.000 5.762" Properties=species:S:1:pos:R:3 pbc="T T T"
Hf 0.000 0.000 0.000
Al 4.839 0.000 2.881
Zn 2.441 1.295 1.201
Zn 1.154 0.000 2.861
Zn 7.238 1.295 4.560
Zn 2.441 -1.295 1.201
Zn 8.525 0.000 2.901
Zn 7.238 -1.295 4.560
```


# 4
# Hf6AlZn
Simulated X-ray powder pattern, Cu Kα (weighted mean of Kα1 and Kα2). Input: a crystal structure in Alexandria, relaxed with PBE.
Lines closer than 0.1° are merged.

Largest 10 diffraction maxima, by intensity, 5° ≤ 2θ ≤ 70°:
two_theta	intensity
35.98	100
41.84	33
60.54	22
41.69	17
20.54	14
29.21	12
60.66	11
51.80	5
47.04	5
64.69	3

```
8
Lattice="6.107 0.000 0.000 0.000 6.107 0.000 0.000 0.000 4.333" Properties=species:S:1:pos:R:3 pbc="T T T"
Hf 0.000 3.053 0.000
Hf 1.519 1.519 2.167
Hf 1.519 4.588 2.167
Hf 3.053 0.000 0.000
Hf 4.588 1.519 2.167
Hf 4.588 4.588 2.167
Al 0.000 0.000 0.000
Zn 3.053 3.053 0.000
```